This entry pairs a crystal structure of Pm7Sb3 with its computed powder diffractogram. Radiation: Cu Kα X-rays. Structure: a structure optimized by DFT (GGA-PBE).
No peak broadening, texture or thermal motion is included.

Structure:
a = 9.410 Å, b = 9.410 Å, c = 6.929 Å
α = 104.83°, β = 104.83°, γ = 30.09°
Sites, in units of the cell vectors:
1 Pm 0.000 0.000 0.000
2 Pm 0.208 0.208 0.630
3 Pm 0.382 0.382 0.168
4 Pm 0.410 0.410 0.687
5 Pm 0.590 0.590 0.313
6 Pm 0.618 0.618 0.832
7 Pm 0.792 0.792 0.370
8 Sb 0.000 0.000 0.500
9 Sb 0.186 0.186 0.140
10 Sb 0.814 0.814 0.860

The 10 most intense peaks (10° ≤ 2θ ≤ 80°), by intensity:
2theta	d (Å)	I/Imax
31.41	2.848	100
31.73	2.820	92
36.80	2.443	36
35.04	2.561	30
37.95	2.371	25
51.72	1.767	20
53.89	1.701	18
62.94	1.477	14
63.12	1.473	13
66.28	1.410	9